(1)
Diffraction record for Li5MnO3F. The powder XRD pattern is theoretical, not measured: it uses a GGA+U-relaxed structure and Cu Kα (weighted mean of Kα1 and Kα2).
Intensities are scaled so that the largest is 100.

Most intense lines, 10 to 90 degrees two-theta, in order of rising 2θ:
2theta  intensity
13.3  67.7
23.3  12.3
25.8  100.0
29.5  11.4
29.9  11.0
41.5  49.2
49.3  14.9
55.1  16.7
55.2  17.2
66.5  10.1

Structural model:
Lattice parameters (Å, degrees): 6.7954 6.7954 4.7427 101.32 101.32 90.12
Positions (direct):
Li 0.0000 0.0000 0.0000
Li 0.0549 0.4841 0.2460
Li 0.2293 0.7935 0.4817
Li 0.2864 0.2864 0.7507
Li 0.3012 0.7180 0.9967
Li 0.4841 0.0549 0.2460
Li 0.5546 0.9891 0.7358
Li 0.7180 0.3012 0.9967
Li 0.7935 0.2293 0.4817
Li 0.9891 0.5546 0.7358
Mn 0.5169 0.5169 0.5038
Mn 0.7539 0.7539 0.1886
O 0.0438 0.7374 0.1082
O 0.2537 0.5392 0.6127
O 0.4912 0.7820 0.3790
O 0.5392 0.2537 0.6127
O 0.7374 0.0438 0.1082
O 0.7820 0.4912 0.3790
F 0.2850 0.9970 0.8650
F 0.9970 0.2850 0.8650

***

(2)
Diffraction record for Li2MnO2F. The powder XRD pattern is theoretical, not measured: it uses a GGA+U-relaxed structure and Cu Kα (weighted mean of Kα1 and Kα2).
Intensities are scaled so that the largest is 100.

Most intense lines, 10 to 90 degrees two-theta, in order of rising 2θ:
2theta  intensity
18.3  100.0
19.9  20.4
20.6  19.7
21.0  18.1
23.1  27.1
35.0  33.4
42.5  92.0
43.7  42.6
61.5  14.1
62.6  23.1

Structural model:
Lattice parameters (Å, degrees): 5.1218 5.1947 9.8439 95.91 93.56 119.41
Positions (direct):
Li 0.0000 0.0000 0.0000
Li 0.0825 0.3986 0.2440
Li 0.1824 0.8214 0.5005
Li 0.3575 0.6742 0.0010
Li 0.5024 0.4831 0.4903
Li 0.6238 0.9053 0.7454
Li 0.7203 0.3532 0.9897
Li 0.8995 0.1796 0.4984
Mn 0.2776 0.2650 0.7490
Mn 0.4405 0.0880 0.2473
Mn 0.7945 0.7589 0.2482
Mn 0.9567 0.5919 0.7462
O 0.0003 0.3231 0.8620
O 0.0847 0.7409 0.1337
O 0.1715 0.1246 0.3670
O 0.2214 0.5444 0.6262
O 0.6481 0.5976 0.8548
O 0.7174 0.0156 0.1392
O 0.7871 0.4572 0.3512
O 0.9499 0.8969 0.6448
F 0.3473 0.9790 0.8835
F 0.3865 0.3787 0.1113
F 0.5083 0.7938 0.3821
F 0.5594 0.2006 0.6163

***

(3)
Diffraction record for LiMnOF2. The powder XRD pattern is theoretical, not measured: it uses a GGA+U-relaxed structure and Cu Kα (weighted mean of Kα1 and Kα2).
Intensities are scaled so that the largest is 100.

Most intense lines, 10 to 90 degrees two-theta, in order of rising 2θ:
2theta  intensity
13.2  44.6
17.5  100.0
26.5  13.0
26.6  16.2
28.2  14.7
29.2  23.0
34.8  16.3
39.0  14.2
41.1  40.7
44.1  14.0

Structural model:
Lattice parameters (Å, degrees): 10.4446 8.9534 5.2427 90.00 103.31 90.00
Positions (direct):
Li 0.0000 0.0854 0.0000
Li 0.0000 0.9146 0.5000
Li 0.0907 0.4053 0.4921
Li 0.0907 0.5947 0.9921
Li 0.5152 0.4105 0.9254
Li 0.5152 0.5895 0.4254
Li 0.6346 0.0899 0.6081
Li 0.6346 0.9101 0.1081
Mn 0.3147 0.3029 0.3075
Mn 0.3147 0.6971 0.8075
Mn 0.3160 0.0900 0.8016
Mn 0.3160 0.9100 0.3016
Mn 0.8038 0.2583 0.1835
Mn 0.8038 0.4069 0.6853
Mn 0.8038 0.5931 0.1853
Mn 0.8038 0.7417 0.6835
O 0.7086 0.4182 0.9769
O 0.7086 0.5818 0.4769
O 0.7119 0.2616 0.4605
O 0.7119 0.7384 0.9605
O 0.8985 0.4150 0.3998
O 0.8985 0.5850 0.8998
O 0.9016 0.2718 0.9175
O 0.9016 0.7282 0.4175
F 0.1684 0.4524 0.2171
F 0.1684 0.5476 0.7171
F 0.1911 0.2298 0.5595
F 0.1911 0.7702 0.0595
F 0.1954 0.0929 0.0816
F 0.1954 0.9071 0.5816
F 0.4233 0.2537 0.0352
F 0.4233 0.7463 0.5352
F 0.4344 0.0880 0.5132
F 0.4344 0.9120 0.0132
F 0.4504 0.4240 0.5686
F 0.4504 0.5760 0.0686
F 0.6836 0.1078 0.9902
F 0.6836 0.8922 0.4902
F 0.9246 0.0956 0.3189
F 0.9246 0.9044 0.8189

***

(4)
Diffraction record for Li2Mn3OF6. The powder XRD pattern is theoretical, not measured: it uses a GGA+U-relaxed structure and Cu Kα (weighted mean of Kα1 and Kα2).
Intensities are scaled so that the largest is 100.

Most intense lines, 10 to 90 degrees two-theta, in order of rising 2θ:
2theta  intensity
19.1  100.0
25.2  51.9
25.7  53.3
30.2  89.3
31.4  41.9
32.1  37.2
37.7  27.1
46.2  26.0
48.7  33.7
48.8  29.1

Structural model:
Lattice parameters (Å, degrees): 5.1610 10.8329 12.1015 116.21 101.03 90.05
Positions (direct):
Li 0.0000 0.0000 0.0000
Li 0.0038 0.3204 0.2843
Li 0.2975 0.2901 0.5898
Li 0.3057 0.2235 0.7932
Li 0.3671 0.4943 0.9986
Li 0.6246 0.8258 0.2912
Li 0.6568 0.7719 0.5701
Li 0.8429 0.7247 0.7861
Mn 0.0026 0.6655 0.1369
Mn 0.1502 0.0096 0.3111
Mn 0.1750 0.7828 0.4252
Mn 0.2345 0.5900 0.5689
Mn 0.3096 0.9510 0.7611
Mn 0.4423 0.8023 0.9888
Mn 0.5124 0.1621 0.1241
Mn 0.5526 0.4989 0.2898
Mn 0.6557 0.2863 0.4427
Mn 0.7102 0.0944 0.5787
Mn 0.8371 0.4603 0.7832
Mn 0.8821 0.3119 0.0093
O 0.2608 0.8178 0.2820
O 0.3959 0.6284 0.4404
O 0.4319 0.1441 0.4598
O 0.7319 0.3364 0.1613
F 0.0253 0.7793 0.5941
F 0.0344 0.5744 0.7104
F 0.0419 0.0736 0.7083
F 0.0978 0.3601 0.8751
F 0.1333 0.8636 0.8673
F 0.1433 0.1592 0.0034
F 0.1997 0.6454 0.9864
F 0.2314 0.4888 0.1326
F 0.2655 0.9931 0.1307
F 0.3642 0.3038 0.2929
F 0.4798 0.9380 0.5925
F 0.4847 0.4447 0.5935
F 0.5413 0.7795 0.7146
F 0.5426 0.2940 0.7308
F 0.5605 0.1427 0.8688
F 0.6473 0.9755 0.9942
F 0.6637 0.6515 0.8694
F 0.7227 0.4916 0.9974
F 0.7291 0.8191 0.1452
F 0.7983 0.6632 0.2873
F 0.8558 0.1523 0.2878
F 0.8914 0.9528 0.4316
F 0.9024 0.4422 0.4364
F 0.9481 0.2852 0.6078

***

(5)
Diffraction record for LiMn2O3F. The powder XRD pattern is theoretical, not measured: it uses a GGA+U-relaxed structure and Cu Kα (weighted mean of Kα1 and Kα2).
Intensities are scaled so that the largest is 100.

Most intense lines, 10 to 90 degrees two-theta, in order of rising 2θ:
2theta  intensity
17.6  52.3
17.8  100.0
18.5  51.5
34.3  33.5
34.6  24.5
34.9  21.5
41.9  83.7
42.6  39.4
60.0  38.3
62.5  20.7

Structural model:
Lattice parameters (Å, degrees): 6.1621 6.1621 10.1739 106.49 106.49 60.07
Positions (direct):
Li 0.0523 0.0523 0.1591
Li 0.4647 0.4319 0.3407
Li 0.5681 0.5353 0.6593
Li 0.9477 0.9477 0.8409
Mn 0.0202 0.4828 0.5009
Mn 0.0243 0.9757 0.5000
Mn 0.2590 0.2386 0.7485
Mn 0.4910 0.5090 0.0000
Mn 0.4964 0.0011 0.9999
Mn 0.5172 0.9798 0.4991
Mn 0.7614 0.7410 0.2515
Mn 0.9989 0.5036 0.0001
O 0.1192 0.6313 0.4000
O 0.1474 0.6034 0.8999
O 0.1524 0.1584 0.8884
O 0.3638 0.3262 0.6111
O 0.3687 0.8808 0.6000
O 0.3966 0.8526 0.1001
O 0.5828 0.1592 0.8916
O 0.6739 0.0674 0.3919
O 0.6738 0.6362 0.3889
O 0.8408 0.4172 0.1084
O 0.8416 0.8476 0.1116
O 0.9326 0.3261 0.6081
F 0.1363 0.1095 0.3576
F 0.3789 0.3752 0.1427
F 0.6248 0.6211 0.8573
F 0.8905 0.8637 0.6424

***

(6)
Diffraction record for Li2MnO2F. The powder XRD pattern is theoretical, not measured: it uses a GGA+U-relaxed structure and Cu Kα (weighted mean of Kα1 and Kα2).
Intensities are scaled so that the largest is 100.

Most intense lines, 10 to 90 degrees two-theta, in order of rising 2θ:
2theta  intensity
20.8  96.9
21.1  99.2
22.8  71.2
27.4  65.0
27.7  59.1
36.1  29.9
41.3  100.0
43.7  85.3
44.5  82.4
64.1  42.6

Structural model:
Lattice parameters (Å, degrees): 5.0649 5.1196 5.2323 101.17 101.92 117.76
Positions (direct):
Li 0.0000 0.0000 0.0000
Li 0.1471 0.8710 0.5019
Li 0.6530 0.3541 0.9999
Li 0.8251 0.1732 0.5011
Mn 0.3230 0.6868 0.9981
Mn 0.5115 0.4935 0.4983
O 0.2812 0.3210 0.7343
O 0.3954 0.0682 0.2433
O 0.6916 0.7245 0.2652
O 0.9257 0.6101 0.7502
F 0.0702 0.4059 0.2466
F 0.5967 0.9515 0.7575

***

(7)
Diffraction record for Li2MnO2F. The powder XRD pattern is theoretical, not measured: it uses a GGA+U-relaxed structure and Cu Kα (weighted mean of Kα1 and Kα2).
Intensities are scaled so that the largest is 100.

Most intense lines, 10 to 90 degrees two-theta, in order of rising 2θ:
2theta  intensity
20.3  24.6
20.7  96.4
21.2  98.7
22.7  72.1
27.2  65.9
27.8  58.1
41.2  100.0
43.4  86.6
44.7  80.3
61.6  25.2

Structural model:
Lattice parameters (Å, degrees): 5.0594 5.1432 5.2436 100.83 102.32 117.76
Positions (direct):
Li 0.0000 0.0000 0.0000
Li 0.1416 0.8687 0.5053
Li 0.6445 0.3467 0.0093
Li 0.8187 0.1684 0.5053
Mn 0.3175 0.6829 0.0032
Mn 0.5064 0.4895 0.5059
O 0.2767 0.3182 0.7432
O 0.3890 0.0606 0.2467
O 0.6846 0.7199 0.2715
O 0.9198 0.6069 0.7521
F 0.0689 0.4012 0.2561
F 0.5954 0.9525 0.7673

***

(8)
Diffraction record for LiMn5O7F. The powder XRD pattern is theoretical, not measured: it uses a GGA+U-relaxed structure and Cu Kα (weighted mean of Kα1 and Kα2).
Intensities are scaled so that the largest is 100.

Most intense lines, 10 to 90 degrees two-theta, in order of rising 2θ:
2theta  intensity
17.7  78.7
18.1  36.0
34.2  46.4
34.4  100.0
34.8  34.1
41.8  87.4
54.9  25.3
55.2  27.3
60.1  49.6
61.2  42.3

Structural model:
Lattice parameters (Å, degrees): 6.0631 6.0631 6.0631 61.08 61.08 61.08
Positions (direct):
Li 0.0000 0.0000 0.0000
Mn 0.1141 0.6044 0.6044
Mn 0.2241 0.2241 0.2241
Mn 0.6044 0.1141 0.6044
Mn 0.6044 0.6044 0.1141
Mn 0.6136 0.6136 0.6136
O 0.3591 0.3591 0.3591
O 0.3708 0.3708 0.8121
O 0.3708 0.8121 0.3708
O 0.4134 0.8552 0.8553
O 0.8121 0.3708 0.3708
O 0.8553 0.4134 0.8553
O 0.8553 0.8553 0.4134
F 0.8713 0.8713 0.8713